Diffraction record for Cs3WF6. The X-ray diffraction stick pattern is calculated, not measured: it uses DFT lattice parameters and positions (GGA+U) and Cu Kα, 1.54184 Å.

Atomic structure:
```
data_Cs3WF6
_chemical_formula_sum 'Cs6 W2 F12'
_cell_length_a 6.8637
_cell_length_b 6.8637
_cell_length_c 10.0301
_cell_angle_alpha 90.00
_cell_angle_beta 90.00
_cell_angle_gamma 90.00
_symmetry_space_group_name_H-M 'P 4/m n c'
_symmetry_Int_Tables_number 128
_symmetry_space_group_name_Hall '-P 4 2n'
loop_
_atom_site_label
_atom_site_type_symbol
_atom_site_fract_x
_atom_site_fract_y
_atom_site_fract_z
Cs1 Cs 0.0000 0.0000 0.0000
Cs2 Cs 0.0000 0.5000 0.2500
W1 W 0.0000 0.0000 0.5000
F1 F 0.0000 0.0000 0.2872
F2 F 0.1373 0.2777 0.5000
```

Main lines, by angle (2θ = 10–90°):
2θ 25.54, d = 3.488 Å, rel. 100, (1 1 2)
2θ 25.96, d = 3.432 Å, rel. 56, (2 0 0)
2θ 35.81, d = 2.508 Å, rel. 17, (0 0 4)
2θ 37.05, d = 2.427 Å, rel. 26, (2 2 0)
2θ 44.76, d = 2.025 Å, rel. 24, (2 0 4)
2θ 45.54, d = 1.992 Å, rel. 47, (3 1 2)
2θ 52.47, d = 1.744 Å, rel. 18, (2 2 4)
2θ 60.31, d = 1.535 Å, rel. 13, (4 2 0)
2θ 71.20, d = 1.324 Å, rel. 14, (3 1 6)
2θ 72.16, d = 1.309 Å, rel. 15, (4 2 4)